The following is a computed PXRD pattern of CaMgCoHNF. It was derived from DFT lattice parameters and positions (PBE+U), using CuKα.

Most intense lines, 2θ from 15° to 90°, most intense first:
d [Å]  2θ/deg  intensity
2.613  34.32  100
2.061  43.94  97
2.850  31.39  96
1.683  54.52  65
2.601  34.48  50
2.811  31.84  49
2.036  44.49  45
2.914  30.69  44
3.839  23.17  44
1.810  50.41  43
1.704  53.81  34
2.559  35.06  29

Cell and atoms:
Lattice parameters (Å, degrees): 3.367 3.367 7.933 102.54 102.54 60.79
Positions (direct):
Ca 0.000 0.000 0.000
Mg 0.769 0.769 0.297
Co 0.520 0.520 0.550
H 0.149 0.149 0.540
N 0.398 0.398 0.194
F 0.608 0.608 0.838